Record 1
Simulated powder X-ray diffraction pattern of BaBi2SbPd2 for a wavelength of 1.5418 Å, from DFT lattice parameters and positions (GGA-PBE).
No peak broadening, texture or thermal motion is included.

The 12 most intense peaks (2θ from 10° to 80°), by intensity:
d [Å]	I/Imax	hkl
2.806	100	1 0 2
2.578	70	2 0 0
1.899	68	2 1 2
3.646	44	1 1 0
1.823	25	2 2 0
2.465	23	1 1 2
1.315	21	3 2 2
1.403	21	2 0 4
3.201	19	1 1 1
6.688	18	0 0 1
1.529	16	3 0 2
1.232	14	2 2 4

Structure:
Cell: 5.157 5.157 6.688 Å, 90.00 90.00 90.00°
Space group P4/mmm (No. 123)
Inequivalent atoms, fractional coordinates:
Ba  0.000  0.000  0.000 [1 per cell]
Bi  0.500  0.500  0.245 [2 per cell]
Sb  0.000  0.000  0.500 [1 per cell]
Pd  0.000  0.500  0.500 [2 per cell]

***

Record 2
Simulated powder X-ray diffraction pattern of Ba3Bi7Pt2 for a wavelength of 1.5418 Å, from DFT lattice parameters and positions (GGA-PBE).
No peak broadening, texture or thermal motion is included.

The 12 most intense peaks (2θ from 10° to 80°), by intensity:
d [Å]	I/Imax	hkl
3.095	100	1 1 -3
3.113	95	1 1 2
2.580	72	2 0 -1
2.522	68	0 2 0
1.803	52	2 2 -1
3.044	47	0 0 5
2.786	23	1 1 3
2.768	23	1 1 -4
1.547	20	1 3 2
1.609	17	1 1 8
1.943	17	0 2 5
2.268	17	0 1 6

Structure:
Cell: 5.160 5.044 15.430 Å, 90.00 99.09 90.00°
Space group P2/m (No. 10)
Inequivalent atoms, fractional coordinates:
Ba  0.000  0.000  0.000 [1 per cell]
Ba  0.317  0.500  0.633 [2 per cell]
Bi  0.085  0.500  0.174 [2 per cell]
Bi  0.219  0.000  0.439 [2 per cell]
Bi  0.417  0.000  0.822 [2 per cell]
Bi  0.500  0.500  0.000 [1 per cell]
Pt  0.118  0.000  0.255 [2 per cell]